# ZnFePO5
Calculated PXRD pattern, a wavelength of 1.5418 Å. Input: a cell relaxed with GGA+U.

Cell: 5.469 5.487 7.209 Å, 107.90 107.88 95.32°
Element x y z (fractional)
Zn: 0.000 0.000 0.000
Zn: 0.384 0.650 0.511
Fe: 0.681 0.318 0.232
Fe: 0.685 0.314 0.731
P: 0.028 0.956 0.479
P: 0.332 0.670 0.981
O: 0.026 0.614 0.866
O: 0.333 0.025 0.603
O: 0.384 0.974 0.097
O: 0.407 0.525 0.135
O: 0.477 0.605 0.823
O: 0.594 0.401 0.481
O: 0.770 0.230 0.982
O: 0.873 0.024 0.627
O: 0.956 0.091 0.315
O: 0.989 0.652 0.372

Top 10 peaks for 10° ≤ 2θ ≤ 80°, by intensity:
| h k l | Position (°2θ) | Rel. int. |
| --- | --- | --- |
| 1 1 0 | 27.1 | 1000 |
| 1 -2 0 | 36.0 | 269 |
| 1 -1 2 | 35.7 | 118 |
| 1 1 -4 | 50.7 | 86 |
| 3 0 0 | 54.0 | 83 |
| 2 0 2 | 53.2 | 77 |
| 0 1 -1 | 18.0 | 76 |
| 1 2 -2 | 39.4 | 72 |
| 0 3 0 | 53.8 | 69 |
| -2 1 4 | 63.2 | 68 |